(1)
Simulated XRD peak list
Compound: PRu2Pb
Radiation: Cu Kα, 1.54184 Å
Structure: DFT lattice parameters and positions (PBE)
Neutral-atom scattering factors, no anomalous dispersion.

Structural model:
a b c (Å): 8.1065 3.0335 6.0028
angles (deg): 90.00 99.67 90.00
Space group Cm (No. 8)
Asymmetric unit:
P (0.0000, 0.0000, 0.0000)
Ru (0.2104, 0.5000, 0.9652)
Ru (0.4441, 0.0000, 0.2665)
Pb (0.2102, 0.0000, 0.5484)

The 6 most intense peaks (10 to 90 degrees two-theta), sorted by position:
two_theta	I/Imax	hkl
22.2	33	2 0 0
29.0	32	2 0 1
34.6	44	2 0 -2
35.9	100	1 1 1
42.8	33	1 1 -2
46.0	73	3 1 -1

(2)
Simulated XRD peak list
Compound: PPbS4
Radiation: Cu Kα, 1.54184 Å
Structure: DFT lattice parameters and positions (PBE)
Neutral-atom scattering factors, no anomalous dispersion.

Structural model:
a b c (Å): 8.3156 8.7438 9.1366
angles (deg): 90.00 90.00 90.00
Space group C222_1 (No. 20)
Asymmetric unit:
P (0.1695, 0.0000, 0.0000)
Pb (0.0000, 0.2894, 0.2500)
S (0.0401, 0.1935, 0.9573)
S (0.2021, 0.4568, 0.6882)

The 6 most intense peaks (10 to 90 degrees two-theta), sorted by position:
two_theta	I/Imax	hkl
17.6	100	1 1 1
21.4	17	2 0 0
29.7	36	2 2 0
33.0	38	1 1 3
35.4	21	3 1 1
45.4	15	3 1 3

(3)
Simulated XRD peak list
Compound: PPb4S6
Radiation: Cu Kα, 1.54184 Å
Structure: DFT lattice parameters and positions (PBE)
Neutral-atom scattering factors, no anomalous dispersion.

Structural model:
a b c (Å): 13.6539 7.4840 13.1213
angles (deg): 90.00 105.91 90.00
Space group Cc (No. 9)
Asymmetric unit:
P (0.0000, 0.2224, 0.0000)
Pb (0.0574, 0.4461, 0.7781)
Pb (0.2187, 0.1042, 0.2235)
Pb (0.2740, 0.3659, 0.5500)
Pb (0.4276, 0.2646, 0.9016)
S (0.0144, 0.0111, 0.1043)
S (0.1298, 0.2242, 0.3748)
S (0.1428, 0.2987, 0.9921)
S (0.2353, 0.2662, 0.7388)
S (0.4126, 0.3560, 0.3519)
S (0.4232, 0.0731, 0.5528)

The 6 most intense peaks (10 to 90 degrees two-theta), sorted by position:
two_theta	I/Imax	hkl
18.2	69	1 1 -2
22.1	91	2 0 2
22.9	84	3 1 -1
23.6	100	1 1 -3
24.4	97	3 1 -2
24.8	65	0 2 1

(4)
Simulated XRD peak list
Compound: TlPPbS4
Radiation: Cu Kα, 1.54184 Å
Structure: DFT lattice parameters and positions (PBE)
Neutral-atom scattering factors, no anomalous dispersion.

Structural model:
a b c (Å): 12.6971 6.6399 8.8480
angles (deg): 90.00 90.00 90.00
Space group Pnma (No. 62)
Asymmetric unit:
Tl (0.1118, 0.2500, 0.1224)
P (0.1500, 0.7500, 0.3699)
Pb (0.1279, 0.2500, 0.6049)
S (0.0478, 0.7500, 0.1898)
S (0.0683, 0.7500, 0.5716)
S (0.2474, 0.5035, 0.3599)

The 6 most intense peaks (10 to 90 degrees two-theta), sorted by position:
two_theta	I/Imax	hkl
19.3	100	2 1 0
25.2	71	1 1 2
26.9	44	0 2 0
29.2	60	3 0 2
32.2	51	3 1 2
34.5	51	1 2 2

(5)
Simulated XRD peak list
Compound: Sb2P6Pb
Radiation: Cu Kα, 1.54184 Å
Structure: DFT lattice parameters and positions (PBE)
Neutral-atom scattering factors, no anomalous dispersion.

Structural model:
a b c (Å): 7.3352 7.3352 4.6829
angles (deg): 90.00 90.00 120.00
Space group P-31m (No. 162)
Asymmetric unit:
Sb (0.3333, 0.6667, 0.0000)
P (0.0000, 0.3970, 0.6601)
Pb (0.0000, 0.0000, 0.5000)

The 6 most intense peaks (10 to 90 degrees two-theta), sorted by position:
two_theta	I/Imax	hkl
23.6	100	1 0 1
24.3	66	1 1 0
34.1	60	2 0 1
42.3	51	2 1 1
42.7	35	3 0 0
46.0	45	2 -1 2

(6)
Simulated XRD peak list
Compound: SbPPb
Radiation: Cu Kα, 1.54184 Å
Structure: DFT lattice parameters and positions (PBE)
Neutral-atom scattering factors, no anomalous dispersion.

Structural model:
a b c (Å): 8.1931 7.8963 5.8764
angles (deg): 90.00 90.74 90.00
Space group C2 (No. 5)
Asymmetric unit:
Sb (0.1515, 0.0000, 0.1184)
P (0.1216, 0.2311, 0.4253)
Pb (0.1337, 0.6128, 0.2789)

The 6 most intense peaks (10 to 90 degrees two-theta), sorted by position:
two_theta	I/Imax	hkl
21.9	62	1 1 1
22.5	87	0 2 0
26.4	72	2 0 -1
26.7	100	2 0 1
34.2	75	1 1 -2
35.2	52	2 2 1

(7)
Simulated XRD peak list
Compound: SbPPb
Radiation: Cu Kα, 1.54184 Å
Structure: DFT lattice parameters and positions (PBE)
Neutral-atom scattering factors, no anomalous dispersion.

Structural model:
a b c (Å): 5.0368 6.0502 6.4828
angles (deg): 97.52 112.55 105.83
Space group P1 (No. 1)
Asymmetric unit:
Sb (0.0000, 0.0000, 0.0000)
Sb (0.3771, 0.5811, 0.7683)
P (0.1571, 0.9375, 0.6627)
P (0.6126, 0.2122, 0.7819)
Pb (0.2735, 0.5807, 0.2230)
Pb (0.7447, 0.1689, 0.3994)

The 6 most intense peaks (10 to 90 degrees two-theta), sorted by position:
two_theta	I/Imax	hkl
21.0	70	1 -1 0
28.6	100	1 0 -2
28.8	51	1 -1 1
30.1	93	1 1 0
31.9	43	0 2 0
38.7	61	0 1 2

(8)
Simulated XRD peak list
Compound: SbPPb3
Radiation: Cu Kα, 1.54184 Å
Structure: DFT lattice parameters and positions (PBE)
Neutral-atom scattering factors, no anomalous dispersion.

Structural model:
a b c (Å): 12.4598 7.1406 14.2898
angles (deg): 90.00 90.00 90.00
Space group Pbcm (No. 57)
Asymmetric unit:
Sb (0.1554, 0.2012, 0.2500)
Sb (0.1581, 0.7500, 0.0000)
P (0.4145, 0.0962, 0.6187)
Pb (0.0098, 0.0271, 0.6228)
Pb (0.2564, 0.2500, 0.0000)
Pb (0.2831, 0.5888, 0.2500)
Pb (0.4143, 0.0994, 0.2500)
Pb (0.4256, 0.7500, 0.0000)

The 6 most intense peaks (10 to 90 degrees two-theta), sorted by position:
two_theta	I/Imax	hkl
25.9	72	1 0 4
27.8	100	3 1 2
28.8	96	2 0 4
33.1	54	3 2 0
35.5	49	0 2 4
51.1	51	0 0 8